(1)
Diffraction record for Mn2GeH. The powder diffractogram is computed, not measured: it uses a crystal structure in Alexandria, relaxed with PBE and Cu Kα, 1.54184 Å.
Neutral-atom scattering factors, no anomalous dispersion.

Principal peaks in the range 10° ≤ 2θ ≤ 90°, by angle:
2θ (°)	I (rel.)
38.4	100
39.8	16
42.3	32
43.3	41
44.4	47
45.5	27
51.5	27
52.7	19
71.1	13
76.8	9

Crystal structure
```
Mn2GeH
1.0
5.1765 0.0000 0.0000
0.0000 3.5487 0.0000
0.0000 0.0000 9.3813
Mn Ge H
8 4 4
Direct
0.0577 0.2500 0.2500
0.1903 0.2500 0.5675
0.3097 0.7500 0.0675
0.4423 0.7500 0.7500
0.5577 0.2500 0.2500
0.6903 0.2500 0.9325
0.8097 0.7500 0.4325
0.9423 0.7500 0.7500
0.1913 0.2500 0.8748
0.3087 0.7500 0.3748
0.6913 0.2500 0.6252
0.8087 0.7500 0.1252
0.1916 0.7500 0.6271
0.3084 0.2500 0.1271
0.6916 0.7500 0.8729
0.8084 0.2500 0.3729
```

***

(2)
Diffraction record for Mn2GeHN. The powder diffractogram is computed, not measured: it uses a crystal structure in Alexandria, relaxed with PBE and Cu Kα, 1.54184 Å.
Neutral-atom scattering factors, no anomalous dispersion.

Principal peaks in the range 10° ≤ 2θ ≤ 90°, by angle:
2θ (°)	I (rel.)
33.6	91
36.3	100
41.4	45
43.8	100
54.3	42
60.0	49
72.2	14
75.5	40
77.2	17
82.1	20

Crystal structure
```
Mn2GeHN
1.0
3.0841 0.0000 0.0000
-1.5421 2.6709 0.0000
0.0000 0.0000 6.5357
Mn Ge H N
2 1 1 1
Direct
0.0000 0.0000 0.0000
0.3333 0.6667 0.3325
0.0000 0.0000 0.6277
0.6667 0.3333 0.3131
0.3333 0.6667 0.0313
```

***

(3)
Diffraction record for Mn2GeHN. The powder diffractogram is computed, not measured: it uses a crystal structure in Alexandria, relaxed with PBE and Cu Kα, 1.54184 Å.
Neutral-atom scattering factors, no anomalous dispersion.

Principal peaks in the range 10° ≤ 2θ ≤ 90°, by angle:
2θ (°)	I (rel.)
33.3	14
34.3	100
40.8	29
42.8	24
47.3	53
51.1	9
58.9	33
70.0	11
75.5	24
78.8	19

Crystal structure
```
Mn2GeHN
1.0
1.5687 0.9057 6.3326
-1.5687 0.9057 6.3326
0.0000 -1.8113 6.3326
Mn Ge H N
2 1 1 1
Direct
0.0000 0.0000 0.0000
0.4405 0.4405 0.4405
0.5698 0.5698 0.5698
0.3471 0.3471 0.3471
0.1038 0.1038 0.1038
```

***

(4)
Diffraction record for Mn2GeHN. The powder diffractogram is computed, not measured: it uses a crystal structure in Alexandria, relaxed with PBE and Cu Kα, 1.54184 Å.
Neutral-atom scattering factors, no anomalous dispersion.

Principal peaks in the range 10° ≤ 2θ ≤ 90°, by angle:
2θ (°)	I (rel.)
25.9	10
36.0	53
38.4	67
39.2	32
44.8	100
54.3	34
64.7	32
78.3	23
79.4	23
82.2	15

Crystal structure
```
Mn2GeHN
1.0
2.8814 0.0000 0.0000
-1.4407 2.4954 0.0000
0.0000 0.0000 6.8924
Mn Ge H N
2 1 1 1
Direct
0.0000 0.0000 0.0000
0.3333 0.6667 0.3150
0.0000 0.0000 0.6117
0.3333 0.6667 0.8904
0.6667 0.3333 0.1648
```

***

(5)
Diffraction record for Mn2GeHN. The powder diffractogram is computed, not measured: it uses a crystal structure in Alexandria, relaxed with PBE and Cu Kα, 1.54184 Å.
Neutral-atom scattering factors, no anomalous dispersion.

Principal peaks in the range 10° ≤ 2θ ≤ 90°, by angle:
2θ (°)	I (rel.)
35.0	58
37.0	100
42.6	39
44.0	53
44.3	26
58.9	25
61.4	14
69.4	15
72.6	12
73.9	15

Crystal structure
```
Mn2GeHN
1.0
2.7556 -1.5106 0.0000
2.7556 1.5106 0.0000
-0.2539 0.0000 6.3719
Mn Ge H N
2 1 1 1
Direct
0.0000 0.0000 0.0000
0.6898 0.6898 0.3452
0.3118 0.3118 0.6852
0.6759 0.6759 0.0424
0.0131 0.0131 0.2978
```